Record 1
# TbY14Th
Simulated powder XRD pattern, λ = 1.5418 Å (Cu Kα). Input: DFT lattice parameters and positions (GGA-PBE).

Most intense lines, 2θ = 10–90°, most intense first:
2θ = 30.64°, I = 100
2θ = 35.52°, I = 50
2θ = 51.12°, I = 35
2θ = 60.74°, I = 27
2θ = 60.87°, I = 14
2θ = 63.79°, I = 12
2θ = 83.38°, I = 11
2θ = 85.95°, I = 10
2θ = 83.27°, I = 6
2θ = 86.16°, I = 5

Cell: 7.154 7.154 10.090 Å, 90.00 90.00 90.00°
Atoms (fractional coordinates):
Tb  0.000  0.000  0.000
Y  0.000  0.000  0.500
Y  0.000  0.500  0.000
Y  0.000  0.500  0.500
Y  0.252  0.252  0.248
Y  0.252  0.252  0.752
Y  0.252  0.748  0.248
Y  0.252  0.748  0.752
Y  0.500  0.000  0.000
Y  0.500  0.000  0.500
Y  0.500  0.500  0.500
Y  0.748  0.252  0.248
Y  0.748  0.252  0.752
Y  0.748  0.748  0.248
Y  0.748  0.748  0.752
Th  0.500  0.500  0.000

=====

Record 2
# Re5B3Mo
Simulated powder XRD pattern, λ = 1.5418 Å (Cu Kα). Input: DFT lattice parameters and positions (GGA-PBE).

Most intense lines, 2θ = 10–90°, most intense first:
2θ = 35.91°, I = 100
2θ = 41.81°, I = 66
2θ = 33.27°, I = 35
2θ = 40.80°, I = 33
2θ = 41.95°, I = 26
2θ = 22.00°, I = 22
2θ = 39.79°, I = 20
2θ = 34.43°, I = 20
2θ = 46.94°, I = 20
2θ = 18.04°, I = 20

Cell: 5.544 5.544 9.071 Å, 111.86 111.86 70.08°
Atoms (fractional coordinates):
Re  0.187  0.642  0.589
Re  0.194  0.806  0.000
Re  0.251  0.251  0.996
Re  0.277  0.277  0.301
Re  0.358  0.813  0.411
Re  0.642  0.187  0.589
Re  0.723  0.723  0.699
Re  0.749  0.749  0.004
Re  0.806  0.194  0.000
Re  0.813  0.358  0.411
B  0.000  0.000  0.500
B  0.005  0.005  0.217
B  0.487  0.487  0.201
B  0.500  0.500  0.000
B  0.513  0.513  0.799
B  0.995  0.995  0.783
Mo  0.232  0.232  0.709
Mo  0.768  0.768  0.291

=====

Record 3
# YAuSe2
Simulated powder XRD pattern, λ = 1.5418 Å (Cu Kα). Input: DFT lattice parameters and positions (GGA-PBE).

Most intense lines, 2θ = 10–90°, most intense first:
2θ = 33.20°, I = 100
2θ = 39.07°, I = 85
2θ = 28.45°, I = 55
2θ = 14.11°, I = 41
2θ = 24.27°, I = 33
2θ = 26.50°, I = 24
2θ = 43.07°, I = 23
2θ = 47.42°, I = 22
2θ = 36.45°, I = 22
2θ = 49.03°, I = 21

Cell: 6.558 3.985 7.669 Å, 90.00 106.90 90.00°
Atoms (fractional coordinates):
Y  0.000  0.001  0.000
Y  0.000  0.999  0.500
Au  0.614  0.499  0.403
Au  0.614  0.501  0.903
Se  0.160  0.494  0.290
Se  0.160  0.506  0.790
Se  0.634  0.085  0.659
Se  0.634  0.915  0.159

=====

Record 4
# K3Cd2Br7
Simulated powder XRD pattern, λ = 1.5418 Å (Cu Kα). Input: DFT lattice parameters and positions (GGA-PBE).

Most intense lines, 2θ = 10–90°, most intense first:
2θ = 16.07°, I = 100
2θ = 27.78°, I = 88
2θ = 46.04°, I = 85
2θ = 31.85°, I = 70
2θ = 32.41°, I = 66
2θ = 12.77°, I = 63
2θ = 32.28°, I = 51
2θ = 57.38°, I = 37
2θ = 46.40°, I = 36
2θ = 36.25°, I = 23

Cell: 14.146 14.146 5.524 Å, 90.00 90.00 157.09°
Atoms (fractional coordinates):
K  0.000  0.000  0.000
K  0.171  0.829  0.000
K  0.829  0.171  0.000
Cd  0.398  0.602  0.500
Cd  0.602  0.398  0.500
Br  0.094  0.906  0.500
Br  0.301  0.699  0.500
Br  0.405  0.595  0.000
Br  0.500  0.500  0.500
Br  0.595  0.405  0.000
Br  0.699  0.301  0.500
Br  0.906  0.094  0.500

=====

Record 5
# Al2PdAu3
Simulated powder XRD pattern, λ = 1.5418 Å (Cu Kα). Input: DFT lattice parameters and positions (GGA-PBE).

Most intense lines, 2θ = 10–90°, most intense first:
2θ = 31.41°, I = 100
2θ = 40.63°, I = 36
2θ = 43.28°, I = 30
2θ = 25.09°, I = 24
2θ = 29.07°, I = 23
2θ = 53.03°, I = 23
2θ = 33.63°, I = 20
2θ = 49.91°, I = 20
2θ = 49.09°, I = 17
2θ = 44.15°, I = 15

Cell: 7.177 7.177 7.177 Å, 53.21 53.21 53.21°
Atoms (fractional coordinates):
Al  0.137  0.137  0.137
Al  0.363  0.363  0.363
Al  0.637  0.637  0.637
Al  0.863  0.863  0.863
Pd  0.000  0.000  0.000
Pd  0.500  0.500  0.500
Au  0.013  0.750  0.487
Au  0.250  0.513  0.987
Au  0.487  0.013  0.750
Au  0.513  0.987  0.250
Au  0.750  0.487  0.013
Au  0.987  0.250  0.513

=====

Record 6
# Pm3Nd5Ho
Simulated powder XRD pattern, λ = 1.5418 Å (Cu Kα). Input: DFT lattice parameters and positions (GGA-PBE).

Most intense lines, 2θ = 10–90°, most intense first:
2θ = 31.10°, I = 100
2θ = 15.40°, I = 71
2θ = 31.36°, I = 60
2θ = 31.94°, I = 60
2θ = 32.71°, I = 53
2θ = 26.99°, I = 48
2θ = 39.04°, I = 48
2θ = 23.75°, I = 42
2θ = 45.75°, I = 36
2θ = 38.55°, I = 36

Cell: 8.152 8.152 11.780 Å, 107.87 107.87 89.74°
Atoms (fractional coordinates):
Pm  0.000  0.000  0.000
Pm  0.000  0.000  0.500
Pm  0.208  0.208  0.348
Pm  0.380  0.380  0.843
Pm  0.620  0.620  0.157
Pm  0.792  0.792  0.652
Nd  0.034  0.565  0.352
Nd  0.255  0.745  0.000
Nd  0.305  0.305  0.095
Nd  0.435  0.966  0.648
Nd  0.470  0.470  0.619
Nd  0.530  0.530  0.381
Nd  0.565  0.034  0.352
Nd  0.695  0.695  0.905
Nd  0.745  0.255  0.000
Nd  0.966  0.435  0.648
Ho  0.091  0.091  0.795
Ho  0.909  0.909  0.205

=====

Record 7
# Mg14TiCo
Simulated powder XRD pattern, λ = 1.5418 Å (Cu Kα). Input: DFT lattice parameters and positions (GGA-PBE).

Most intense lines, 2θ = 10–90°, most intense first:
2θ = 37.81°, I = 100
2θ = 33.03°, I = 26
2θ = 36.19°, I = 25
2θ = 71.21°, I = 18
2θ = 66.16°, I = 17
2θ = 59.00°, I = 17
2θ = 49.81°, I = 15
2θ = 72.24°, I = 13
2θ = 16.34°, I = 12
2θ = 24.31°, I = 5

Cell: 6.262 6.262 9.927 Å, 90.00 90.00 120.00°
Atoms (fractional coordinates):
Mg  0.000  0.000  0.243
Mg  0.000  0.000  0.757
Mg  0.016  0.508  0.260
Mg  0.016  0.508  0.740
Mg  0.330  0.165  0.500
Mg  0.340  0.170  0.000
Mg  0.492  0.508  0.260
Mg  0.492  0.508  0.740
Mg  0.492  0.984  0.260
Mg  0.492  0.984  0.740
Mg  0.830  0.170  0.000
Mg  0.830  0.660  0.000
Mg  0.835  0.165  0.500
Mg  0.835  0.670  0.500
Ti  0.333  0.667  0.000
Co  0.333  0.667  0.500

=====

Record 8
# DyPa2O7
Simulated powder XRD pattern, λ = 1.5418 Å (Cu Kα). Input: DFT lattice parameters and positions (GGA-PBE).

Most intense lines, 2θ = 10–90°, most intense first:
2θ = 27.14°, I = 100
2θ = 33.34°, I = 71
2θ = 30.18°, I = 65
2θ = 46.83°, I = 59
2θ = 54.14°, I = 55
2θ = 48.88°, I = 50
2θ = 25.57°, I = 45
2θ = 26.68°, I = 32
2θ = 16.97°, I = 28
2θ = 88.52°, I = 18

Cell: 10.687 10.687 10.687 Å, 20.92 20.92 20.92°
Atoms (fractional coordinates):
Dy  0.000  0.000  0.000
Pa  0.431  0.431  0.431
Pa  0.569  0.569  0.569
O  0.075  0.075  0.075
O  0.219  0.219  0.219
O  0.361  0.361  0.361
O  0.500  0.500  0.500
O  0.639  0.639  0.639
O  0.781  0.781  0.781
O  0.925  0.925  0.925

=====

Please write out number 3 again, unchanged.
# YAuSe2
Simulated powder XRD pattern, λ = 1.5418 Å (Cu Kα). Input: DFT lattice parameters and positions (GGA-PBE).

Most intense lines, 2θ = 10–90°, most intense first:
2θ = 33.20°, I = 100
2θ = 39.07°, I = 85
2θ = 28.45°, I = 55
2θ = 14.11°, I = 41
2θ = 24.27°, I = 33
2θ = 26.50°, I = 24
2θ = 43.07°, I = 23
2θ = 47.42°, I = 22
2θ = 36.45°, I = 22
2θ = 49.03°, I = 21

Cell: 6.558 3.985 7.669 Å, 90.00 106.90 90.00°
Atoms (fractional coordinates):
Y  0.000  0.001  0.000
Y  0.000  0.999  0.500
Au  0.614  0.499  0.403
Au  0.614  0.501  0.903
Se  0.160  0.494  0.290
Se  0.160  0.506  0.790
Se  0.634  0.085  0.659
Se  0.634  0.915  0.159